Structure and simulated X-ray powder pattern of MgFe6Ge6 (DFT lattice parameters and positions (GGA-PBE); Cu Kα X-rays).
Lines closer than 0.1° are merged.

Main lines, by angle (10° ≤ 2θ ≤ 90°):
- d 2.531, 2θ = 35.5°, rel. 514
- d 2.192, 2θ = 41.2°, rel. 371
- d 2.143, 2θ = 42.2°, rel. 711
- d 1.925, 2θ = 47.2°, rel. 1000
- d 1.830, 2θ = 49.8°, rel. 344
- d 1.266, 2θ = 75.1°, rel. 279

Cell and atoms:
```
13
Lattice="5.0625 0.0000 0.0000 -2.5313 4.3843 0.0000 0.0000 0.0000 8.0551" Properties=species:S:1:pos:R:3 pbc="T T T"
Mg 0.0000 0.0000 0.0000
Fe -1.2656 2.1921 2.0086
Fe -1.2656 2.1921 6.0465
Fe 2.5313 0.0000 2.0086
Fe 2.5313 0.0000 6.0465
Fe 1.2656 2.1921 2.0086
Fe 1.2656 2.1921 6.0465
Ge 0.0000 0.0000 2.7484
Ge 0.0000 0.0000 5.3067
Ge 0.0000 2.9228 0.0000
Ge 0.0000 2.9228 4.0275
Ge 2.5313 1.4614 0.0000
Ge 2.5313 1.4614 4.0275
```



Structure and simulated X-ray powder pattern of Ag2PHO4 (DFT lattice parameters and positions (GGA-PBE); Cu Kα X-rays).
Lines closer than 0.1° are merged.

Main lines, by angle (10° ≤ 2θ ≤ 90°):
- d 5.441, 2θ = 16.3°, rel. 319
- d 3.030, 2θ = 29.5°, rel. 355
- d 2.969, 2θ = 30.1°, rel. 1000
- d 2.647, 2θ = 33.9°, rel. 210
- d 2.584, 2θ = 34.7°, rel. 504
- d 1.841, 2θ = 49.5°, rel. 255

Cell and atoms:
```
24
Lattice="6.2826 0.0000 0.0000 -3.1413 5.4409 0.0000 0.0000 0.0000 9.0898" Properties=species:S:1:pos:R:3 pbc="T T T"
Ag 0.7170 0.4139 0.0000
Ag 0.0000 2.2004 6.0599
Ag -1.2357 4.3407 3.0299
Ag 1.2357 4.3407 0.0000
Ag 5.5656 0.4139 3.0299
Ag 3.1413 4.6130 6.0599
P 3.1413 0.1384 6.0599
P 1.6905 2.6513 3.0299
P 4.5921 2.6513 0.0000
H 3.1413 1.5289 1.5150
H 2.8947 1.9560 7.5749
H 3.3879 1.9560 4.5449
O -0.4148 2.2072 8.3289
O -1.4373 3.9781 0.7609
O 0.4148 2.2072 3.7909
O -1.0224 4.6966 5.2990
O 2.3154 1.0504 7.0322
O 2.0674 1.4800 2.0577
O 1.4372 3.9781 2.2690
O 1.0224 4.6966 6.8208
O 3.9672 1.0504 5.0876
O 2.8933 2.9105 4.0022
O 4.2152 1.4800 0.9723
O 3.3893 2.9105 8.1176
```



Structure and simulated X-ray powder pattern of CeAg2Ge2 (DFT lattice parameters and positions (GGA-PBE); Cu Kα X-rays).
Lines closer than 0.1° are merged.

Main lines, by angle (10° ≤ 2θ ≤ 90°):
- d 2.821, 2θ = 31.7°, rel. 329
- d 2.674, 2θ = 33.5°, rel. 1000
- d 2.151, 2θ = 42.0°, rel. 454
- d 1.988, 2θ = 45.6°, rel. 217
- d 1.460, 2θ = 63.7°, rel. 158
- d 1.322, 2θ = 71.3°, rel. 210

Cell and atoms:
```
5
Lattice="-2.1514 2.1514 5.6036 2.1514 -2.1514 5.6036 2.1514 2.1514 -5.6036" Properties=species:S:1:pos:R:3 pbc="T T T"
Ce 0.0000 0.0000 0.0000
Ag 2.1514 0.0000 2.8018
Ag 0.0000 2.1514 2.8018
Ge 0.0000 0.0000 4.3779
Ge 0.0000 0.0000 6.8292
```